# RbReIrO6
Simulated XRD peak list, a wavelength of 1.5418 Å. Input: a DFT-relaxed cell (GGA-PBE, Alexandria).
Kinematic intensities with the Lorentz-polarization factor, no thermal factor.

Most intense lines, 2θ from 15° to 90°, low angle first:
19.11 deg, I = 14.9; 23.94 deg, I = 100.0; 28.79 deg, I = 21.3; 33.42 deg, I = 45.7; 36.51 deg, I = 31.2; 41.53 deg, I = 18.6; 44.68 deg, I = 56.1; 54.32 deg, I = 20.5; 59.72 deg, I = 16.2; 70.14 deg, I = 20.6

Structure:
```
data_RbReIrO6
_cell_length_a 5.3626
_cell_length_b 5.3626
_cell_length_c 6.2015
_cell_angle_alpha 90.00
_cell_angle_beta 90.00
_cell_angle_gamma 120.00
_space_group_name_H-M_alt 'P 3 1 2'
_space_group_IT_number 149
_space_group_name_Hall 'P 3 2'
loop_
_atom_site_label
_atom_site_type_symbol
_atom_site_fract_x
_atom_site_fract_y
_atom_site_fract_z
Rb1 Rb 0.0000 0.0000 0.0000
Re1 Re 0.3333 0.6667 0.5000
Ir1 Ir 0.6667 0.3333 0.5000
O1 O 0.0108 0.3969 0.6693
```



# Ce2SiAs
Simulated XRD peak list, a wavelength of 1.5418 Å. Input: a DFT-relaxed cell (GGA-PBE, Alexandria).
Kinematic intensities with the Lorentz-polarization factor, no thermal factor.

Most intense lines, 2θ from 15° to 90°, low angle first:
27.01 deg, I = 31.6; 30.48 deg, I = 100.0; 31.03 deg, I = 45.1; 41.02 deg, I = 50.6; 41.46 deg, I = 23.5; 45.03 deg, I = 18.5; 46.92 deg, I = 22.7; 52.67 deg, I = 20.2; 55.69 deg, I = 17.0; 68.85 deg, I = 17.7

Structure:
```
data_Ce2SiAs
_cell_length_a 4.356
_cell_length_b 23.059
_cell_length_c 4.026
_cell_angle_alpha 90.00
_cell_angle_beta 90.00
_cell_angle_gamma 90.00
_space_group_name_H-M_alt 'C m c m'
_space_group_IT_number 63
_space_group_name_Hall '-C 2c 2'
loop_
_atom_site_label
_atom_site_type_symbol
_atom_site_fract_x
_atom_site_fract_y
_atom_site_fract_z
Ce1 Ce 0.000 0.064 0.250
Ce2 Ce 0.000 0.317 0.250
Si1 Si 0.000 0.465 0.250
As1 As 0.000 0.189 0.250
```



# K2CeHgO4
Simulated XRD peak list, a wavelength of 1.5418 Å. Input: a DFT-relaxed cell (GGA-PBE, Alexandria).
Kinematic intensities with the Lorentz-polarization factor, no thermal factor.

Most intense lines, 2θ from 15° to 90°, low angle first:
28.35 deg, I = 26.0; 28.70 deg, I = 52.0; 29.48 deg, I = 41.9; 30.16 deg, I = 85.0; 30.55 deg, I = 42.6; 33.12 deg, I = 59.5; 35.41 deg, I = 100.0; 48.05 deg, I = 37.9; 50.47 deg, I = 34.1; 58.68 deg, I = 23.7

Structure:
```
data_K2CeHgO4
_cell_length_a 6.326
_cell_length_b 3.541
_cell_length_c 6.725
_cell_angle_alpha 90.00
_cell_angle_beta 112.32
_cell_angle_gamma 90.00
_space_group_name_H-M_alt 'P 1 2/m 1'
_space_group_IT_number 10
_space_group_name_Hall '-P 2y'
loop_
_atom_site_label
_atom_site_type_symbol
_atom_site_fract_x
_atom_site_fract_y
_atom_site_fract_z
K1 K 0.000 0.000 0.000
K2 K 0.500 0.500 0.000
Ce1 Ce 0.000 0.500 0.500
Hg1 Hg 0.500 0.000 0.500
O1 O 0.188 0.000 0.707
O2 O 0.249 0.500 0.319
```



# BaSr2ZnF8
Simulated XRD peak list, a wavelength of 1.5418 Å. Input: a DFT-relaxed cell (GGA-PBE, Alexandria).
Kinematic intensities with the Lorentz-polarization factor, no thermal factor.

Most intense lines, 2θ from 15° to 90°, low angle first:
24.68 deg, I = 63.2; 27.15 deg, I = 100.0; 27.48 deg, I = 52.6; 30.50 deg, I = 28.2; 42.31 deg, I = 25.6; 42.66 deg, I = 55.4; 45.01 deg, I = 22.2; 46.18 deg, I = 39.5; 49.40 deg, I = 20.0; 53.54 deg, I = 28.9

Structure:
```
data_BaSr2ZnF8
_cell_length_a 4.298
_cell_length_b 5.706
_cell_length_c 8.057
_cell_angle_alpha 89.94
_cell_angle_beta 89.98
_cell_angle_gamma 83.71
_space_group_name_H-M_alt 'P -1'
_space_group_IT_number 2
_space_group_name_Hall '-P 1'
loop_
_atom_site_label
_atom_site_type_symbol
_atom_site_fract_x
_atom_site_fract_y
_atom_site_fract_z
Ba1 Ba 0.000 0.000 0.000
Sr1 Sr 0.500 0.500 0.268
Zn1 Zn 0.000 0.000 0.500
F1 F 0.049 0.243 0.716
F2 F 0.050 0.241 0.285
F3 F 0.403 0.780 0.500
F4 F 0.476 0.270 0.000
```



# LaH11Rh5
Simulated XRD peak list, a wavelength of 1.5418 Å. Input: a DFT-relaxed cell (GGA-PBE, Alexandria).
Kinematic intensities with the Lorentz-polarization factor, no thermal factor.

Most intense lines, 2θ from 15° to 90°, low angle first:
20.48 deg, I = 41.7; 24.67 deg, I = 100.0; 28.01 deg, I = 27.6; 32.48 deg, I = 24.9; 33.73 deg, I = 37.7; 35.63 deg, I = 44.0; 36.33 deg, I = 53.3; 39.75 deg, I = 51.5; 40.76 deg, I = 40.8; 41.29 deg, I = 53.6

Structure:
```
data_LaH11Rh5
_cell_length_a 5.518
_cell_length_b 8.515
_cell_length_c 7.243
_cell_angle_alpha 90.00
_cell_angle_beta 110.05
_cell_angle_gamma 90.00
_space_group_name_H-M_alt 'C 1 2/m 1'
_space_group_IT_number 12
_space_group_name_Hall '-C 2y'
loop_
_atom_site_label
_atom_site_type_symbol
_atom_site_fract_x
_atom_site_fract_y
_atom_site_fract_z
La1 La 0.000 0.000 0.000
H1 H 0.000 0.000 0.500
H2 H 0.057 0.500 0.281
H3 H 0.108 0.166 0.355
H4 H 0.177 0.318 0.098
Rh1 Rh 0.000 0.500 0.000
Rh2 Rh 0.223 0.163 0.658
```



# Sc4AsO2
Simulated XRD peak list, a wavelength of 1.5418 Å. Input: a DFT-relaxed cell (GGA-PBE, Alexandria).
Kinematic intensities with the Lorentz-polarization factor, no thermal factor.

Most intense lines, 2θ from 15° to 90°, low angle first:
17.73 deg, I = 24.4; 26.44 deg, I = 100.0; 32.38 deg, I = 23.1; 33.87 deg, I = 62.2; 34.51 deg, I = 58.1; 35.91 deg, I = 28.7; 36.21 deg, I = 24.5; 41.16 deg, I = 71.0; 43.36 deg, I = 41.8; 44.15 deg, I = 28.6

Structure:
```
data_Sc4AsO2
_cell_length_a 5.912
_cell_length_b 9.386
_cell_length_c 9.124
_cell_angle_alpha 90.00
_cell_angle_beta 90.00
_cell_angle_gamma 90.00
_space_group_name_H-M_alt 'C c c m'
_space_group_IT_number 66
_space_group_name_Hall '-C 2 2c'
loop_
_atom_site_label
_atom_site_type_symbol
_atom_site_fract_x
_atom_site_fract_y
_atom_site_fract_z
Sc1 Sc 0.226 0.082 0.000
Sc2 Sc 0.250 0.250 0.333
As1 As 0.000 0.500 0.250
O1 O 0.118 0.127 0.500
```



# Nd2Al3Zn6
Simulated XRD peak list, a wavelength of 1.5418 Å. Input: a DFT-relaxed cell (GGA-PBE, Alexandria).
Kinematic intensities with the Lorentz-polarization factor, no thermal factor.

Most intense lines, 2θ from 15° to 90°, low angle first:
24.21 deg, I = 21.9; 27.55 deg, I = 35.3; 28.11 deg, I = 71.9; 32.82 deg, I = 100.0; 34.62 deg, I = 54.8; 36.67 deg, I = 41.1; 38.10 deg, I = 26.2; 39.35 deg, I = 23.5; 44.50 deg, I = 36.4; 58.98 deg, I = 19.8

Structure:
```
data_Nd2Al3Zn6
_cell_length_a 10.140
_cell_length_b 10.676
_cell_length_c 4.072
_cell_angle_alpha 90.00
_cell_angle_beta 90.00
_cell_angle_gamma 90.00
_space_group_name_H-M_alt 'C m m m'
_space_group_IT_number 65
_space_group_name_Hall '-C 2 2'
loop_
_atom_site_label
_atom_site_type_symbol
_atom_site_fract_x
_atom_site_fract_y
_atom_site_fract_z
Nd1 Nd 0.000 0.219 0.000
Al1 Al 0.000 0.500 0.500
Al2 Al 0.204 0.500 0.000
Zn1 Zn 0.115 0.000 0.500
Zn2 Zn 0.197 0.348 0.500
```



# Rb4Nd3VSe8
Simulated XRD peak list, a wavelength of 1.5418 Å. Input: a DFT-relaxed cell (GGA-PBE, Alexandria).
Kinematic intensities with the Lorentz-polarization factor, no thermal factor.

Most intense lines, 2θ from 15° to 90°, low angle first:
28.38 deg, I = 100.0; 35.72 deg, I = 9.7; 38.65 deg, I = 32.3; 42.40 deg, I = 35.0; 48.43 deg, I = 6.2; 51.81 deg, I = 17.3; 58.71 deg, I = 9.1; 63.78 deg, I = 8.8; 69.10 deg, I = 13.9; 75.06 deg, I = 8.3

Structure:
```
data_Rb4Nd3VSe8
_cell_length_a 8.5268
_cell_length_b 8.5268
_cell_length_c 24.0226
_cell_angle_alpha 90.00
_cell_angle_beta 90.00
_cell_angle_gamma 120.00
_space_group_name_H-M_alt 'R -3 m'
_space_group_IT_number 166
_space_group_name_Hall '-R 3 2"'
loop_
_atom_site_label
_atom_site_type_symbol
_atom_site_fract_x
_atom_site_fract_y
_atom_site_fract_z
Rb1 Rb 0.0000 0.0000 0.0000
Rb2 Rb 0.0000 0.5000 0.0000
Nd1 Nd 0.0000 0.5000 0.5000
V1 V 0.0000 0.0000 0.5000
Se1 Se 0.0000 0.0000 0.2351
Se2 Se 0.0269 0.5135 0.2302
```



# Sm4Si3S12
Simulated XRD peak list, a wavelength of 1.5418 Å. Input: a DFT-relaxed cell (GGA-PBE, Alexandria).
Kinematic intensities with the Lorentz-polarization factor, no thermal factor.

Most intense lines, 2θ from 15° to 90°, low angle first:
18.07 deg, I = 77.7; 24.57 deg, I = 100.0; 26.71 deg, I = 45.4; 32.70 deg, I = 50.2; 35.40 deg, I = 48.6; 36.61 deg, I = 30.7; 37.31 deg, I = 38.0; 37.54 deg, I = 43.0; 42.44 deg, I = 25.7; 48.71 deg, I = 25.3

Structure:
```
data_Sm4Si3S12
_cell_length_a 19.1688
_cell_length_b 19.1688
_cell_length_c 7.8818
_cell_angle_alpha 90.00
_cell_angle_beta 90.00
_cell_angle_gamma 120.00
_space_group_name_H-M_alt 'R 3 c'
_space_group_IT_number 161
_space_group_name_Hall 'R 3 -2"c'
loop_
_atom_site_label
_atom_site_type_symbol
_atom_site_fract_x
_atom_site_fract_y
_atom_site_fract_z
Sm1 Sm 0.0000 0.0000 0.0000
Sm2 Sm 0.0057 0.2344 0.2157
Si1 Si 0.1477 0.4679 0.3287
S1 S 0.0658 0.3980 0.5257
S2 S 0.0854 0.2024 0.5106
S3 S 0.1248 0.0622 0.2494
S4 S 0.1518 0.3806 0.1688
```



# Tm4MgC2
Simulated XRD peak list, a wavelength of 1.5418 Å. Input: a DFT-relaxed cell (GGA-PBE, Alexandria).
Kinematic intensities with the Lorentz-polarization factor, no thermal factor.

Most intense lines, 2θ from 15° to 90°, low angle first:
15.89 deg, I = 20.9; 28.92 deg, I = 74.0; 30.93 deg, I = 75.3; 32.09 deg, I = 41.2; 32.78 deg, I = 100.0; 33.52 deg, I = 71.1; 44.03 deg, I = 21.9; 49.21 deg, I = 38.5; 49.91 deg, I = 20.0; 59.91 deg, I = 45.6

Structure:
```
data_Tm4MgC2
_cell_length_a 3.654
_cell_length_b 12.333
_cell_length_c 13.092
_cell_angle_alpha 90.00
_cell_angle_beta 90.00
_cell_angle_gamma 90.00
_space_group_name_H-M_alt 'C m c m'
_space_group_IT_number 63
_space_group_name_Hall '-C 2c 2'
loop_
_atom_site_label
_atom_site_type_symbol
_atom_site_fract_x
_atom_site_fract_y
_atom_site_fract_z
Tm1 Tm 0.000 0.000 0.000
Tm2 Tm 0.000 0.256 0.098
Tm3 Tm 0.000 0.410 0.750
Mg1 Mg 0.000 0.115 0.750
C1 C 0.000 0.364 0.560
```



# Sr5CeTe6
Simulated XRD peak list, a wavelength of 1.5418 Å. Input: a DFT-relaxed cell (GGA-PBE, Alexandria).
Kinematic intensities with the Lorentz-polarization factor, no thermal factor.

Most intense lines, 2θ from 15° to 90°, low angle first:
23.13 deg, I = 2.2; 26.77 deg, I = 100.0; 38.22 deg, I = 77.1; 45.15 deg, I = 1.4; 47.28 deg, I = 27.8; 55.16 deg, I = 13.1; 62.35 deg, I = 35.9; 69.09 deg, I = 26.3; 81.81 deg, I = 8.3; 87.97 deg, I = 17.6

Structure:
```
data_Sr5CeTe6
_cell_length_a 8.160
_cell_length_b 14.123
_cell_length_c 8.157
_cell_angle_alpha 90.00
_cell_angle_beta 109.46
_cell_angle_gamma 90.00
_space_group_name_H-M_alt 'C 1 2/m 1'
_space_group_IT_number 12
_space_group_name_Hall '-C 2y'
loop_
_atom_site_label
_atom_site_type_symbol
_atom_site_fract_x
_atom_site_fract_y
_atom_site_fract_z
Sr1 Sr 0.000 0.000 0.000
Sr2 Sr 0.000 0.166 0.500
Sr3 Sr 0.000 0.332 0.000
Ce1 Ce 0.000 0.500 0.500
Te1 Te 0.244 0.500 0.253
Te2 Te 0.245 0.337 0.746
```



# AcMgIn2Pd
Simulated XRD peak list, a wavelength of 1.5418 Å. Input: a DFT-relaxed cell (GGA-PBE, Alexandria).
Kinematic intensities with the Lorentz-polarization factor, no thermal factor.

Most intense lines, 2θ from 15° to 90°, low angle first:
28.12 deg, I = 36.4; 28.42 deg, I = 32.1; 29.38 deg, I = 48.6; 31.48 deg, I = 100.0; 38.74 deg, I = 29.5; 40.27 deg, I = 38.3; 40.98 deg, I = 21.4; 41.61 deg, I = 24.1; 49.35 deg, I = 23.4; 59.29 deg, I = 24.5

Structure:
```
data_AcMgIn2Pd
_cell_length_a 4.341
_cell_length_b 4.649
_cell_length_c 12.778
_cell_angle_alpha 90.00
_cell_angle_beta 90.00
_cell_angle_gamma 90.00
_space_group_name_H-M_alt 'I m m 2'
_space_group_IT_number 44
_space_group_name_Hall 'I 2 -2'
loop_
_atom_site_label
_atom_site_type_symbol
_atom_site_fract_x
_atom_site_fract_y
_atom_site_fract_z
Ac1 Ac 0.000 0.000 0.000
Mg1 Mg 0.000 0.500 0.767
In1 In 0.000 0.000 0.615
In2 In 0.000 0.500 0.275
Pd1 Pd 0.000 0.000 0.401
```



# CaY2Zr
Simulated XRD peak list, a wavelength of 1.5418 Å. Input: a DFT-relaxed cell (GGA-PBE, Alexandria).
Kinematic intensities with the Lorentz-polarization factor, no thermal factor.

Most intense lines, 2θ from 15° to 90°, low angle first:
29.80 deg, I = 31.9; 30.57 deg, I = 34.5; 32.06 deg, I = 100.0; 34.48 deg, I = 50.3; 39.19 deg, I = 36.5; 52.06 deg, I = 28.5; 53.66 deg, I = 20.5; 61.59 deg, I = 25.9; 62.46 deg, I = 13.7; 85.57 deg, I = 11.2

Structure:
```
data_CaY2Zr
_cell_length_a 3.5135
_cell_length_b 3.5135
_cell_length_c 35.0867
_cell_angle_alpha 90.00
_cell_angle_beta 90.00
_cell_angle_gamma 120.00
_space_group_name_H-M_alt 'R 3 m'
_space_group_IT_number 160
_space_group_name_Hall 'R 3 -2"'
loop_
_atom_site_label
_atom_site_type_symbol
_atom_site_fract_x
_atom_site_fract_y
_atom_site_fract_z
Ca1 Ca 0.0000 0.0000 0.0000
Y1 Y 0.0000 0.0000 0.2416
Y2 Y 0.0000 0.0000 0.4259
Zr1 Zr 0.0000 0.0000 0.8339
```